(1)
Theoretical powder XRD pattern of Er5TlCd4 for Cu Kα (λ = 1.5418 Å), from a PBE-relaxed structure.

Largest 8 diffraction maxima, by angle, 2θ = 10–80°:
hkl 1 0 0, d 3.723, 23.9 deg, I 2; hkl 1 0 3, d 3.193, 27.9 deg, I 1; hkl 1 0 4, d 2.907, 30.8 deg, I 1; hkl 1 1 0, d 2.633, 34.1 deg, I 100; hkl 2 0 0, d 1.862, 48.9 deg, I 18; hkl 2 1 0, d 1.665, 55.2 deg, I 1; hkl 2 1 5, d 1.520, 61.0 deg, I 37; hkl 2 2 0, d 1.316, 71.7 deg, I 11

Atomic structure:
```
data_Er5TlCd4
_chemical_formula_sum 'Er5 Tl1 Cd4'
_cell_length_a 3.7247
_cell_length_b 3.7247
_cell_length_c 18.5993
_cell_angle_alpha 90.00
_cell_angle_beta 90.00
_cell_angle_gamma 90.00
_space_group_name_H-M_alt 'P 4/m m m'
_space_group_IT_number 123
_space_group_name_Hall '-P 4 2'
loop_
_atom_site_label
_atom_site_type_symbol
_atom_site_fract_x
_atom_site_fract_y
_atom_site_fract_z
Er1 Er 0.0000 0.0000 0.0000
Er2 Er 0.0000 0.0000 0.1987
Er3 Er 0.0000 0.0000 0.3963
Tl1 Tl 0.5000 0.5000 0.5000
Cd1 Cd 0.5000 0.5000 0.0998
Cd2 Cd 0.5000 0.5000 0.2959
```

(2)
Theoretical powder XRD pattern of Er4TlCd5 for Cu Kα (λ = 1.5418 Å), from a PBE-relaxed structure.

Largest 12 diffraction maxima, by angle, 2θ = 10–80°:
hkl 2 0 2, d 2.654, 33.8 deg, I 53; hkl 3 1 -2, d 2.606, 34.4 deg, I 100; hkl 5 1 0, d 2.590, 34.6 deg, I 100; hkl 0 2 0, d 2.575, 34.8 deg, I 50; hkl 2 2 2, d 1.848, 49.3 deg, I 37; hkl 8 0 -2, d 1.826, 49.9 deg, I 17; hkl 1 1 -4, d 1.526, 60.7 deg, I 18; hkl 7 1 2, d 1.517, 61.1 deg, I 18; hkl 3 3 -2, d 1.493, 62.2 deg, I 18; hkl 5 3 0, d 1.490, 62.3 deg, I 35; hkl 6 2 -4, d 1.303, 72.6 deg, I 11; hkl 10 2 0, d 1.295, 73.1 deg, I 11

Atomic structure:
```
data_Er4TlCd5
_chemical_formula_sum 'Er8 Tl2 Cd10'
_cell_length_a 15.5008
_cell_length_b 5.1504
_cell_length_c 6.4697
_cell_angle_alpha 90.00
_cell_angle_beta 104.83
_cell_angle_gamma 90.00
_space_group_name_H-M_alt 'C 1 2/m 1'
_space_group_IT_number 12
loop_
_space_group_symop_operation_xyz
'x,y,z'
'-x,-y,-z'
'-x,y,-z'
'x,-y,z'
'x+1/2,y+1/2,z'
'-x+1/2,-y+1/2,-z'
'-x+1/2,y+1/2,-z'
'x+1/2,-y+1/2,z'
loop_
_atom_site_label
_atom_site_type_symbol
_atom_site_fract_x
_atom_site_fract_y
_atom_site_fract_z
Er1 Er 0.0976 0.0000 0.3792
Er2 Er 0.1935 0.5000 0.8136
Tl1 Tl 0.0000 0.5000 0.5000
Cd1 Cd 0.0000 0.5000 0.0000
Cd2 Cd 0.1002 0.0000 0.9045
Cd3 Cd 0.2067 0.5000 0.3150
```

(3)
Theoretical powder XRD pattern of Er6Tl6Cd for Cu Kα (λ = 1.5418 Å), from a PBE-relaxed structure.

Largest 12 diffraction maxima, by angle, 2θ = 10–80°:
hkl 0 0 2, d 5.177, 17.1 deg, I 16; hkl 1 1 0, d 3.213, 27.8 deg, I 20; hkl 2 0 0, d 2.783, 32.2 deg, I 46; hkl 1 1 2, d 2.730, 32.8 deg, I 48; hkl 0 0 4, d 2.588, 34.7 deg, I 27; hkl 2 0 2, d 2.451, 36.7 deg, I 100; hkl 1 0 4, d 2.348, 38.3 deg, I 22; hkl 2 0 4, d 1.895, 48.0 deg, I 15; hkl 2 2 0, d 1.607, 57.4 deg, I 28; hkl 1 1 6, d 1.520, 60.9 deg, I 19; hkl 2 2 4, d 1.365, 68.8 deg, I 22; hkl 4 0 2, d 1.344, 70.0 deg, I 16

Atomic structure:
```
data_Er6Tl6Cd
_chemical_formula_sum 'Er6 Tl6 Cd1'
_cell_length_a 6.4262
_cell_length_b 6.4262
_cell_length_c 10.3531
_cell_angle_alpha 90.00
_cell_angle_beta 90.00
_cell_angle_gamma 120.00
_space_group_name_H-M_alt 'P 6/m m m'
_space_group_IT_number 191
_space_group_name_Hall '-P 6 2'
loop_
_atom_site_label
_atom_site_type_symbol
_atom_site_fract_x
_atom_site_fract_y
_atom_site_fract_z
Er1 Er 0.0000 0.0000 0.1797
Er2 Er 0.3333 0.6667 0.0000
Er3 Er 0.3333 0.6667 0.5000
Tl1 Tl 0.0000 0.5000 0.2508
Cd1 Cd 0.0000 0.0000 0.5000
```

(4)
Theoretical powder XRD pattern of Er2Tl4Cd for Cu Kα (λ = 1.5418 Å), from a PBE-relaxed structure.

Largest 12 diffraction maxima, by angle, 2θ = 10–80°:
hkl 1 1 -1, d 4.019, 22.1 deg, I 31; hkl 3 1 0, d 3.363, 26.5 deg, I 35; hkl 4 0 -1, d 3.217, 27.7 deg, I 42; hkl 4 0 0, d 3.161, 28.2 deg, I 34; hkl 2 0 -2, d 2.898, 30.9 deg, I 61; hkl 0 2 0, d 2.789, 32.1 deg, I 100; hkl 3 1 1, d 2.600, 34.5 deg, I 97; hkl 1 1 -2, d 2.578, 34.8 deg, I 34; hkl 5 1 -1, d 2.383, 37.7 deg, I 59; hkl 1 1 2, d 2.316, 38.9 deg, I 27; hkl 4 2 -1, d 2.107, 42.9 deg, I 29; hkl 2 2 -2, d 2.010, 45.1 deg, I 51

Atomic structure:
```
data_Er2Tl4Cd
_chemical_formula_sum 'Er4 Tl8 Cd2'
_cell_length_a 13.3237
_cell_length_b 5.5785
_cell_length_c 5.8443
_cell_angle_alpha 90.00
_cell_angle_beta 108.39
_cell_angle_gamma 90.00
_space_group_name_H-M_alt 'C 1 2/m 1'
_space_group_IT_number 12
loop_
_space_group_symop_operation_xyz
'x,y,z'
'-x,-y,-z'
'-x,y,-z'
'x,-y,z'
'x+1/2,y+1/2,z'
'-x+1/2,-y+1/2,-z'
'-x+1/2,y+1/2,-z'
'x+1/2,-y+1/2,z'
loop_
_atom_site_label
_atom_site_type_symbol
_atom_site_fract_x
_atom_site_fract_y
_atom_site_fract_z
Er1 Er 0.1427 0.0000 0.0823
Tl1 Tl 0.0000 0.0000 0.5000
Tl2 Tl 0.0000 0.5000 0.0000
Tl3 Tl 0.2492 0.5000 0.3398
Cd1 Cd 0.0000 0.5000 0.5000
```

(5)
Theoretical powder XRD pattern of Er3Tl2Cd2 for Cu Kα (λ = 1.5418 Å), from a PBE-relaxed structure.

Largest 12 diffraction maxima, by angle, 2θ = 10–80°:
hkl 1 5 0, d 3.253, 27.4 deg, I 14; hkl 1 1 1, d 2.731, 32.8 deg, I 100; hkl 1 7 0, d 2.648, 33.8 deg, I 93; hkl 0 6 1, d 2.502, 35.9 deg, I 59; hkl 2 0 0, d 2.373, 37.9 deg, I 38; hkl 2 6 1, d 1.721, 53.2 deg, I 38; hkl 0 14 0, d 1.595, 57.8 deg, I 17; hkl 1 13 1, d 1.458, 63.9 deg, I 25; hkl 3 1 1, d 1.429, 65.3 deg, I 14; hkl 1 7 2, d 1.424, 65.6 deg, I 27; hkl 3 7 0, d 1.417, 65.9 deg, I 13; hkl 2 0 2, d 1.376, 68.2 deg, I 14

Atomic structure:
```
data_Er3Tl2Cd2
_chemical_formula_sum 'Er6 Tl4 Cd4'
_cell_length_a 4.7450
_cell_length_b 22.3429
_cell_length_c 3.3771
_cell_angle_alpha 90.00
_cell_angle_beta 90.00
_cell_angle_gamma 90.00
_space_group_name_H-M_alt 'C m m m'
_space_group_IT_number 65
_space_group_name_Hall '-C 2 2'
loop_
_atom_site_label
_atom_site_type_symbol
_atom_site_fract_x
_atom_site_fract_y
_atom_site_fract_z
Er1 Er 0.0000 0.0000 0.0000
Er2 Er 0.0000 0.1545 0.0000
Tl1 Tl 0.0000 0.4226 0.5000
Cd1 Cd 0.0000 0.2836 0.5000
```

(6)
Theoretical powder XRD pattern of Er12Tm7Cd for Cu Kα (λ = 1.5418 Å), from a PBE-relaxed structure.

Largest 12 diffraction maxima, by angle, 2θ = 10–80°:
hkl 2 1 -1, d 2.924, 30.6 deg, I 31; hkl -1 2 2, d 2.879, 31.1 deg, I 23; hkl 1 -2 2, d 2.807, 31.9 deg, I 50; hkl 2 2 0, d 2.772, 32.3 deg, I 100; hkl 1 2 3, d 2.743, 32.6 deg, I 86; hkl 0 3 0, d 2.703, 33.1 deg, I 41; hkl -2 2 1, d 2.666, 33.6 deg, I 49; hkl 3 0 2, d 2.639, 34.0 deg, I 55; hkl 1 -3 0, d 2.583, 34.7 deg, I 22; hkl 1 0 -3, d 2.564, 35.0 deg, I 55; hkl 3 -1 0, d 2.515, 35.7 deg, I 21; hkl 1 5 3, d 1.562, 59.2 deg, I 19

Atomic structure:
```
data_Er12Tm7Cd
_chemical_formula_sum 'Er12 Tm7 Cd1'
_cell_length_a 8.2378
_cell_length_b 8.2559
_cell_length_c 9.6662
_cell_angle_alpha 79.33
_cell_angle_beta 72.28
_cell_angle_gamma 88.65
_space_group_name_H-M_alt 'P -1'
_space_group_IT_number 2
loop_
_space_group_symop_operation_xyz
'x,y,z'
'-x,-y,-z'
loop_
_atom_site_label
_atom_site_type_symbol
_atom_site_fract_x
_atom_site_fract_y
_atom_site_fract_z
Er1 Er 0.0544 0.4766 0.1500
Er2 Er 0.0684 0.8732 0.2305
Er3 Er 0.1268 0.8684 0.5651
Er4 Er 0.1971 0.2033 0.9407
Er5 Er 0.3378 0.5449 0.6259
Er6 Er 0.4123 0.6178 0.1843
Tm1 Tm 0.0000 0.5000 0.5000
Tm2 Tm 0.2391 0.8016 0.8799
Tm3 Tm 0.3184 0.1927 0.2817
Tm4 Tm 0.4159 0.1398 0.6094
Cd1 Cd 0.5000 0.0000 0.0000
```

(7)
Theoretical powder XRD pattern of Er3TmCd2 for Cu Kα (λ = 1.5418 Å), from a PBE-relaxed structure.

Largest 12 diffraction maxima, by angle, 2θ = 10–80°:
hkl 1 2 1, d 3.085, 28.9 deg, I 30; hkl 1 0 2, d 2.844, 31.5 deg, I 33; hkl 0 3 1, d 2.826, 31.7 deg, I 16; hkl 0 2 2, d 2.749, 32.6 deg, I 41; hkl 1 1 2, d 2.720, 32.9 deg, I 100; hkl 1 3 0, d 2.662, 33.7 deg, I 98; hkl 2 0 0, d 2.584, 34.7 deg, I 61; hkl 0 3 2, d 2.295, 39.3 deg, I 15; hkl 2 2 2, d 1.883, 48.3 deg, I 27; hkl 1 4 3, d 1.551, 59.6 deg, I 21; hkl 3 1 2, d 1.517, 61.1 deg, I 17; hkl 3 3 0, d 1.507, 61.6 deg, I 17

Atomic structure:
```
data_Er3TmCd2
_chemical_formula_sum 'Er6 Tm2 Cd4'
_cell_length_a 5.1684
_cell_length_b 9.3168
_cell_length_c 6.8104
_cell_angle_alpha 90.00
_cell_angle_beta 90.00
_cell_angle_gamma 90.00
_space_group_name_H-M_alt 'P m c 21'
_space_group_IT_number 26
loop_
_space_group_symop_operation_xyz
'x,y,z'
'-x,-y,z+1/2'
'-x,y,z'
'x,-y,z+1/2'
loop_
_atom_site_label
_atom_site_type_symbol
_atom_site_fract_x
_atom_site_fract_y
_atom_site_fract_z
Er1 Er 0.0000 0.0433 0.0000
Er2 Er 0.0000 0.3226 0.3391
Er3 Er 0.5000 0.1787 0.6995
Tm1 Tm 0.5000 0.4568 0.0389
Cd1 Cd 0.0000 0.3507 0.7952
Cd2 Cd 0.5000 0.1496 0.2437
```

(8)
Theoretical powder XRD pattern of ErTm2Cd5 for Cu Kα (λ = 1.5418 Å), from a PBE-relaxed structure.

Largest 12 diffraction maxima, by angle, 2θ = 10–80°:
hkl 1 1 0, d 3.598, 24.7 deg, I 2; hkl 1 0 3, d 3.550, 25.1 deg, I 2; hkl 1 1 4, d 2.585, 34.7 deg, I 100; hkl 2 0 0, d 2.544, 35.3 deg, I 49; hkl 1 0 7, d 1.960, 46.3 deg, I 1; hkl 0 0 8, d 1.858, 49.0 deg, I 9; hkl 2 2 0, d 1.799, 50.7 deg, I 17; hkl 2 1 7, d 1.553, 59.5 deg, I 1; hkl 2 0 8, d 1.501, 61.8 deg, I 17; hkl 3 1 4, d 1.477, 62.9 deg, I 34; hkl 2 2 8, d 1.293, 73.2 deg, I 10; hkl 4 0 0, d 1.272, 74.6 deg, I 5

Atomic structure:
```
data_ErTm2Cd5
_chemical_formula_sum 'Er2 Tm4 Cd10'
_cell_length_a 5.0882
_cell_length_b 5.0882
_cell_length_c 14.8675
_cell_angle_alpha 90.00
_cell_angle_beta 90.00
_cell_angle_gamma 90.00
_space_group_name_H-M_alt 'I 4/m m m'
_space_group_IT_number 139
_space_group_name_Hall '-I 4 2'
loop_
_atom_site_label
_atom_site_type_symbol
_atom_site_fract_x
_atom_site_fract_y
_atom_site_fract_z
Er1 Er 0.0000 0.0000 0.0000
Tm1 Tm 0.0000 0.0000 0.2589
Cd1 Cd 0.0000 0.0000 0.5000
Cd2 Cd 0.0000 0.5000 0.1210
```